LiFePO4: theoretical XRD peak list (Cu Ka), based on a DFT-relaxed cell (GGA+U, the Materials Project).

Largest 10 diffraction maxima, in order of rising 2θ, 2θ from 10° to 90°:
(hkl)  2θ/deg  d_spacing  I (rel.)
2 0 0  16.98  5.222  33
1 0 1  20.55  4.321  60
1 1 1  25.28  3.523  91
0 2 0  29.33  3.045  77
3 0 1  31.88  2.807  30
3 1 1  35.20  2.549  100
1 2 1  36.08  2.489  30
4 1 0  37.48  2.400  22
2 2 2  51.89  1.762  36
3 3 1  55.89  1.645  24

Crystal structure
```
data_LiFePO4
_chemical_formula_sum 'Li4 Fe4 P4 O16'
_cell_length_a 10.4437
_cell_length_b 6.0902
_cell_length_c 4.7464
_cell_angle_alpha 90.00
_cell_angle_beta 90.00
_cell_angle_gamma 90.00
_symmetry_space_group_name_H-M 'P n m a'
_symmetry_Int_Tables_number 62
_symmetry_space_group_name_Hall '-P 2ac 2n'
loop_
_atom_site_label
_atom_site_type_symbol
_atom_site_fract_x
_atom_site_fract_y
_atom_site_fract_z
_atom_site_occupancy
Li1 Li 0.0000 0.0000 0.0000 1
Fe1 Fe 0.2180 0.2500 0.4752 1
P1 P 0.0948 0.7500 0.4178 1
O1 O 0.0429 0.2500 0.7069 1
O2 O 0.0967 0.7500 0.7419 1
O3 O 0.1655 0.5470 0.2845 1
```